# 1
Theoretical powder diffraction line list
Compound: K2Ta3S6
Radiation: a wavelength of 1.5418 Å
Structure: a cell relaxed with PBE
Kinematic intensities with the Lorentz-polarization factor, no thermal factor.

Crystal structure
Cell lengths 16.2375, 16.2375, 16.2375 Å; angles 20.90, 20.90, 20.90 degrees
Fractional positions:
K1 0.0831 0.0831 0.0831
K2 0.4165 0.4165 0.4165
K3 0.5835 0.5835 0.5835
K4 0.9169 0.9169 0.9169
Ta1 0.0000 0.3328 0.6672
Ta2 0.1667 0.1667 0.1667
Ta3 0.3328 0.6672 0.0000
Ta4 0.5000 0.5000 0.5000
Ta5 0.6672 0.0000 0.3328
Ta6 0.8333 0.8333 0.8333
S1 0.0310 0.6984 0.3679
S2 0.1327 0.8005 0.4700
S3 0.1995 0.8673 0.5300
S4 0.3016 0.9690 0.6321
S5 0.3679 0.0310 0.6984
S6 0.4700 0.1327 0.8005
S7 0.5300 0.1995 0.8673
S8 0.6321 0.3016 0.9690
S9 0.6984 0.3679 0.0310
S10 0.8005 0.4700 0.1327
S11 0.8673 0.5300 0.1995
S12 0.9690 0.6321 0.3016

Largest 10 diffraction maxima, in order of rising 2θ, 10° ≤ 2θ ≤ 80°:
2θ 11.15, intensity 100; 2θ 22.40, intensity 16; 2θ 30.89, intensity 44; 2θ 34.87, intensity 32; 2θ 38.05, intensity 25; 2θ 41.84, intensity 19; 2θ 46.12, intensity 11; 2θ 50.81, intensity 11; 2θ 53.94, intensity 14; 2θ 55.26, intensity 11


# 2
Theoretical powder diffraction line list
Compound: K4Ta2S11
Radiation: a wavelength of 1.5418 Å
Structure: a cell relaxed with PBE
Kinematic intensities with the Lorentz-polarization factor, no thermal factor.

Crystal structure
Cell lengths 7.6144, 11.6569, 12.0050 Å; angles 68.84, 86.38, 85.47 degrees
Fractional positions:
K1 0.0272 0.3130 0.1537
K2 0.2435 0.8692 0.5062
K3 0.2708 0.8471 0.0529
K4 0.2836 0.4629 0.3884
K5 0.7164 0.5371 0.6116
K6 0.7292 0.1529 0.9471
K7 0.7565 0.1308 0.4938
K8 0.9728 0.6870 0.8463
Ta1 0.1454 0.3671 0.7958
Ta2 0.2339 0.1472 0.6595
Ta3 0.7661 0.8528 0.3405
Ta4 0.8546 0.6329 0.2042
S1 0.0094 0.3191 0.6335
S2 0.0132 0.9842 0.2554
S3 0.1112 0.5827 0.1197
S4 0.1536 0.1374 0.8981
S5 0.2119 0.5639 0.6351
S6 0.2315 0.9158 0.7590
S7 0.2661 0.1614 0.4660
S8 0.3094 0.2320 0.9701
S9 0.3337 0.5309 0.7969
S10 0.4332 0.3060 0.6647
S11 0.4638 0.8763 0.2704
S12 0.5362 0.1237 0.7296
S13 0.5668 0.6940 0.3353
S14 0.6663 0.4691 0.2031
S15 0.6906 0.7680 0.0299
S16 0.7339 0.8386 0.5340
S17 0.7685 0.0842 0.2410
S18 0.7881 0.4361 0.3649
S19 0.8464 0.8626 0.1019
S20 0.8888 0.4173 0.8803
S21 0.9868 0.0158 0.7446
S22 0.9906 0.6809 0.3665

Largest 10 diffraction maxima, in order of rising 2θ, 10° ≤ 2θ ≤ 80°:
2θ 11.67, intensity 20; 2θ 13.24, intensity 58; 2θ 13.85, intensity 100; 2θ 14.35, intensity 28; 2θ 15.84, intensity 17; 2θ 18.26, intensity 14; 2θ 23.43, intensity 27; 2θ 27.26, intensity 19; 2θ 30.25, intensity 13; 2θ 32.37, intensity 14


# 3
Theoretical powder diffraction line list
Compound: KTbS2
Radiation: a wavelength of 1.5418 Å
Structure: a cell relaxed with PBE
Kinematic intensities with the Lorentz-polarization factor, no thermal factor.

Crystal structure
Cell lengths 7.7312, 7.7312, 7.7312 Å; angles 30.55, 30.55, 30.55 degrees
Fractional positions:
K1 0.0000 0.0000 0.0000
Tb1 0.5000 0.5000 0.5000
S1 0.2341 0.2341 0.2341
S2 0.7659 0.7659 0.7659

Largest 10 diffraction maxima, in order of rising 2θ, 10° ≤ 2θ ≤ 80°:
2θ 12.02, intensity 76; 2θ 24.17, intensity 17; 2θ 25.57, intensity 26; 2θ 26.52, intensity 35; 2θ 30.06, intensity 100; 2θ 38.26, intensity 19; 2θ 41.53, intensity 36; 2θ 44.48, intensity 34; 2θ 46.25, intensity 17; 2θ 54.62, intensity 17


# 4
Theoretical powder diffraction line list
Compound: K2Tc3S6
Radiation: a wavelength of 1.5418 Å
Structure: a cell relaxed with PBE
Kinematic intensities with the Lorentz-polarization factor, no thermal factor.

Crystal structure
Cell lengths 9.6890, 9.6890, 12.0286 Å; angles 91.28, 91.28, 61.11 degrees
Fractional positions:
K1 0.0985 0.9015 0.7500
K2 0.1429 0.6207 0.9791
K3 0.2906 0.7094 0.2500
K4 0.3793 0.8571 0.5209
K5 0.6207 0.1429 0.4791
K6 0.7094 0.2906 0.7500
K7 0.8571 0.3793 0.0209
K8 0.9015 0.0985 0.2500
Tc1 0.0301 0.3855 0.6298
Tc2 0.1028 0.3126 0.4174
Tc3 0.1900 0.4967 0.5256
Tc4 0.3126 0.1028 0.9174
Tc5 0.3855 0.0301 0.1298
Tc6 0.4967 0.1900 0.0256
Tc7 0.5033 0.8100 0.9744
Tc8 0.6145 0.9699 0.8702
Tc9 0.6874 0.8972 0.0826
Tc10 0.8100 0.5033 0.4744
Tc11 0.8972 0.6874 0.5826
Tc12 0.9699 0.6145 0.3702
S1 0.0542 0.7750 0.4799
S2 0.0617 0.2363 0.8047
S3 0.1103 0.5614 0.7157
S4 0.2215 0.2933 0.0689
S5 0.2250 0.9458 0.0201
S6 0.2363 0.0617 0.3047
S7 0.2422 0.4276 0.3332
S8 0.2933 0.2215 0.5689
S9 0.4276 0.2422 0.8332
S10 0.4386 0.8897 0.7843
S11 0.4403 0.5003 0.5730
S12 0.5003 0.4403 0.0730
S13 0.4997 0.5597 0.9270
S14 0.5597 0.4997 0.4270
S15 0.5614 0.1103 0.2157
S16 0.5724 0.7578 0.1668
S17 0.7067 0.7785 0.4311
S18 0.7578 0.5724 0.6668
S19 0.7637 0.9383 0.6953
S20 0.7750 0.0542 0.9799
S21 0.7785 0.7067 0.9311
S22 0.8897 0.4386 0.2843
S23 0.9383 0.7637 0.1953
S24 0.9458 0.2250 0.5201

Largest 10 diffraction maxima, in order of rising 2θ, 10° ≤ 2θ ≤ 80°:
2θ 10.61, intensity 94; 2θ 12.69, intensity 86; 2θ 12.85, intensity 100; 2θ 14.73, intensity 23; 2θ 17.98, intensity 14; 2θ 37.31, intensity 12; 2θ 46.90, intensity 19; 2θ 47.09, intensity 17; 2θ 48.15, intensity 14; 2θ 48.86, intensity 13


# 5
Theoretical powder diffraction line list
Compound: K2TeS3
Radiation: a wavelength of 1.5418 Å
Structure: a cell relaxed with PBE
Kinematic intensities with the Lorentz-polarization factor, no thermal factor.

Crystal structure
Cell lengths 6.4870, 9.3044, 14.8234 Å; angles 90.00, 114.94, 90.00 degrees
Fractional positions:
K1 0.0070 0.1124 0.2531
K2 0.0070 0.3876 0.7531
K3 0.3371 0.6312 0.5841
K4 0.3371 0.8688 0.0841
K5 0.6629 0.1312 0.9159
K6 0.6629 0.3688 0.4159
K7 0.9930 0.6124 0.2469
K8 0.9930 0.8876 0.7469
Te1 0.2793 0.1822 0.5808
Te2 0.2793 0.3178 0.0808
Te3 0.7207 0.6822 0.9192
Te4 0.7207 0.8178 0.4192
S1 0.0726 0.6426 0.9108
S2 0.0726 0.8574 0.4108
S3 0.1854 0.1634 0.9406
S4 0.1854 0.3366 0.4406
S5 0.4699 0.1593 0.2173
S6 0.4699 0.3407 0.7173
S7 0.5301 0.6593 0.2827
S8 0.5301 0.8407 0.7827
S9 0.8146 0.6634 0.5594
S10 0.8146 0.8366 0.0594
S11 0.9274 0.1426 0.5892
S12 0.9274 0.3574 0.0892

Largest 10 diffraction maxima, in order of rising 2θ, 10° ≤ 2θ ≤ 80°:
2θ 15.27, intensity 26; 2θ 16.27, intensity 37; 2θ 17.84, intensity 48; 2θ 19.08, intensity 25; 2θ 27.50, intensity 52; 2θ 27.64, intensity 100; 2θ 39.13, intensity 26; 2θ 39.65, intensity 27; 2θ 40.26, intensity 19; 2θ 48.11, intensity 14